# 1
# CaAcIn3
Theoretical PXRD pattern, Cu Kα. Input: a DFT-relaxed cell (GGA-PBE, Alexandria).
Neutral-atom scattering factors, no anomalous dispersion.

```
CaAcIn3
1.0
4.5550 0.0000 0.0000
0.0000 5.0037 0.0000
0.0000 0.0000 6.8977
Ca Ac In
1 1 3
direct
0.0000 0.0000 0.0000
0.5000 0.0000 0.5000
0.0000 0.5000 0.2945
0.0000 0.5000 0.7055
0.5000 0.5000 0.0000
```

Main lines, by intensity (10° ≤ 2θ ≤ 90°):
| 2θ (°) | d [Å] | I/Imax |
| --- | --- | --- |
| 29.51 | 3.027 | 100 |
| 32.57 | 2.750 | 48 |
| 49.24 | 1.850 | 30 |
| 26.46 | 3.368 | 29 |
| 35.89 | 2.502 | 28 |
| 21.95 | 4.050 | 27 |
| 31.50 | 2.840 | 25 |
| 39.57 | 2.278 | 22 |
| 43.31 | 2.089 | 21 |
| 54.48 | 1.684 | 17 |

***

# 2
# SmHoAl2Pd5
Theoretical PXRD pattern, Cu Kα. Input: a DFT-relaxed cell (GGA-PBE, Alexandria).
Neutral-atom scattering factors, no anomalous dispersion.

```
SmHoAl2Pd5
1.0
4.2454 0.0000 0.0000
0.0000 4.2454 0.0000
0.0000 0.0000 9.2514
Sm Ho Al Pd
1 1 2 5
direct
0.0000 0.0000 0.0000
0.0000 0.0000 0.5000
0.5000 0.5000 0.3607
0.5000 0.5000 0.6393
0.0000 0.5000 0.2269
0.0000 0.5000 0.7731
0.5000 0.0000 0.2269
0.5000 0.0000 0.7731
0.5000 0.5000 0.0000
```

Main lines, by intensity (10° ≤ 2θ ≤ 90°):
| 2θ (°) | d [Å] | I/Imax |
| --- | --- | --- |
| 35.65 | 2.518 | 100 |
| 42.59 | 2.123 | 37 |
| 73.44 | 1.289 | 24 |
| 59.07 | 1.564 | 18 |
| 38.94 | 2.313 | 15 |
| 61.81 | 1.501 | 12 |
| 28.54 | 3.128 | 12 |
| 68.40 | 1.372 | 11 |
| 42.00 | 2.151 | 10 |
| 75.51 | 1.259 | 9 |

***

# 3
# Sm2ErPaRu2
Theoretical PXRD pattern, Cu Kα. Input: a DFT-relaxed cell (GGA-PBE, Alexandria).
Neutral-atom scattering factors, no anomalous dispersion.

```
Sm2ErPaRu2
1.0
-3.4087 6.7985 3.3882
3.4087 -6.7985 3.3882
3.4087 6.7985 -3.3882
Sm Er Pa Ru
4 2 2 4
direct
0.1927 0.2246 0.4173
0.3073 0.7246 0.0319
0.6927 0.2754 0.9681
0.8073 0.7754 0.5827
0.2500 0.7500 0.5000
0.7500 0.2500 0.5000
0.2500 0.2500 0.0000
0.7500 0.7500 0.0000
0.0995 0.7887 0.8882
0.4005 0.2887 0.6892
0.5995 0.7113 0.3108
0.9005 0.2113 0.1118
```

Main lines, by intensity (10° ≤ 2θ ≤ 90°):
| 2θ (°) | d [Å] | I/Imax |
| --- | --- | --- |
| 37.41 | 2.404 | 100 |
| 29.45 | 3.032 | 58 |
| 29.31 | 3.047 | 58 |
| 32.26 | 2.775 | 52 |
| 13.02 | 6.799 | 34 |
| 37.48 | 2.400 | 27 |
| 60.95 | 1.520 | 19 |
| 44.18 | 2.050 | 16 |
| 81.30 | 1.183 | 16 |
| 39.78 | 2.266 | 16 |